1.
Simulated X-ray powder pattern of Zn2InGaO5 for Cu Kα X-rays, from DFT lattice parameters and positions (GGA-PBE).
Neutral-atom scattering factors, no anomalous dispersion.

Largest 10 diffraction maxima, in order of rising 2θ, 10° ≤ 2θ ≤ 90°:
d/Å  2θ (°)  Rel. int.  index
2.897  30.87  22  1 0 0
2.873  31.13  36  1 0 1
2.845  31.45  38  0 0 8
2.581  34.75  100  1 0 4
2.030  44.65  15  1 0 8
1.905  47.74  16  1 0 9
1.672  54.90  41  1 1 0
1.587  58.14  32  1 0 12
1.442  64.65  27  1 1 8
1.404  66.64  15  2 0 4

Cell and atoms:
a = 3.3446 Å, b = 3.3446 Å, c = 22.7586 Å
α = 90.00°, β = 90.00°, γ = 120.00°
Space group P6_3/mmc (No. 194)
Inequivalent atoms, fractional coordinates:
Zn 0.3333 0.6667 0.1354 x4
In 0.0000 0.0000 0.0000 x2
Ga 0.0000 0.0000 0.2500 x2
O 0.0000 0.0000 0.1623 x4
O 0.3333 0.6667 0.0481 x4
O 0.3333 0.6667 0.2500 x2



2.
Simulated X-ray powder pattern of Pa2InGa4 for Cu Kα X-rays, from DFT lattice parameters and positions (GGA-PBE).
Neutral-atom scattering factors, no anomalous dispersion.

Largest 10 diffraction maxima, in order of rising 2θ, 10° ≤ 2θ ≤ 90°:
d/Å  2θ (°)  Rel. int.  index
4.450  19.95  15  0 0 2
3.869  22.99  44  1 0 1
3.037  29.41  13  1 1 0
2.509  35.79  100  1 1 2
2.441  36.82  12  1 0 3
2.225  40.54  17  0 0 4
2.148  42.07  33  2 0 0
1.878  48.48  13  2 1 1
1.545  59.85  21  2 0 4
1.299  72.79  25  3 1 2

Cell and atoms:
a = 4.296 Å, b = 4.296 Å, c = 8.901 Å
α = 90.00°, β = 90.00°, γ = 90.00°
Space group P-4m2 (No. 115)
Inequivalent atoms, fractional coordinates:
Pa 0.000 0.500 0.235 x2
In 0.000 0.000 0.500 x1
Ga 0.000 0.000 0.000 x1
Ga 0.000 0.500 0.738 x2
Ga 0.500 0.500 0.000 x1